[1]
This entry pairs a crystal structure of Tm2ScZn3Cu3 with its computed PXRD pattern. Radiation: Cu Kα (λ = 1.5418 Å). Structure: a structure optimized by DFT (PBE).
Intensities are scaled so that the largest is 100.

Cell and atoms:
```
Tm2ScZn3Cu3
1.0
3.7895 0.0000 0.0000
0.0000 5.9937 3.4675
0.0000 -5.9937 3.4675
Tm Sc Zn Cu
2 1 3 3
Direct
0.0000 0.2061 0.7939
0.0000 0.7939 0.2061
0.0000 0.6177 0.6177
0.5000 0.2108 0.4526
0.5000 0.4526 0.2108
0.5000 0.9580 0.9580
0.0000 0.2108 0.2108
0.5000 0.5417 0.8654
0.5000 0.8654 0.5417
```

Peak list (10 most intense, 10 to 90 degrees two-theta, most intense first)
2θ (°)	Rel. int.
35.1	100
38.3	92
39.8	51
14.8	26
45.3	25
60.8	24
64.0	24
48.0	24
46.7	20
73.1	18

=====

[2]
This entry pairs a crystal structure of Nd2Y2CI3Cl2 with its computed PXRD pattern. Radiation: Cu Kα (λ = 1.5418 Å). Structure: a structure optimized by DFT (PBE).
Intensities are scaled so that the largest is 100.

Cell and atoms:
```
Nd2Y2CI3Cl2
1.0
9.3110 -1.9716 0.0000
9.3110 1.9716 0.0000
-1.6211 0.0000 8.3506
Nd Y C I Cl
2 2 1 3 2
Direct
0.1378 0.1378 0.0713
0.8622 0.8622 0.9287
0.4983 0.4983 0.1907
0.5017 0.5017 0.8093
0.0000 0.0000 0.0000
0.0000 0.0000 0.5000
0.3287 0.3287 0.2005
0.6713 0.6713 0.7995
0.3544 0.3544 0.6866
0.6456 0.6456 0.3134
```

Peak list (10 most intense, 10 to 90 degrees two-theta, most intense first)
2θ (°)	Rel. int.
30.9	100
10.6	56
29.3	45
42.5	39
33.7	34
23.9	25
43.7	23
30.0	21
27.9	19
46.0	19

=====

[3]
This entry pairs a crystal structure of SmSbN2O with its computed PXRD pattern. Radiation: Cu Kα (λ = 1.5418 Å). Structure: a structure optimized by DFT (PBE).
Intensities are scaled so that the largest is 100.

Cell and atoms:
```
SmSbN2O
1.0
6.5695 0.0000 0.0000
-3.2848 5.6894 0.0000
0.0000 0.0000 12.1229
Sm Sb N O
6 6 12 6
Direct
0.0000 0.0000 0.0000
0.0000 0.0000 0.5000
0.3333 0.6667 0.4702
0.3333 0.6667 0.9702
0.6667 0.3333 0.4702
0.6667 0.3333 0.9702
0.0000 0.3337 0.2329
0.0000 0.6663 0.7329
0.3337 0.0000 0.2329
0.3337 0.3337 0.7329
0.6663 0.0000 0.7329
0.6663 0.6663 0.2329
0.0000 0.3129 0.3922
0.0000 0.3538 0.0740
0.0000 0.6462 0.5740
0.0000 0.6871 0.8922
0.3129 0.0000 0.3922
0.3129 0.3129 0.8922
0.3538 0.0000 0.0740
0.3538 0.3538 0.5740
0.6462 0.0000 0.5740
0.6462 0.6462 0.0740
0.6871 0.0000 0.8922
0.6871 0.6871 0.3922
0.0000 0.0000 0.2108
0.0000 0.0000 0.7108
0.3333 0.6667 0.2511
0.3333 0.6667 0.7511
0.6667 0.3333 0.2511
0.6667 0.3333 0.7511
```

Peak list (10 most intense, 10 to 90 degrees two-theta, most intense first)
2θ (°)	Rel. int.
31.0	100
28.1	52
48.0	41
29.5	37
57.3	34
53.2	23
58.2	18
27.1	17
78.7	15
40.5	15